# Cs4Rb2ZnCoO5
Theoretical powder XRD pattern, Cu Ka. Input: the GGA+U geometry in OQMD.

Cell and atoms:
```
13
Lattice="3.682 -6.047 0.000 3.682 6.047 0.000 -0.600 0.000 7.136" Properties=species:S:1:pos:R:3 pbc="T T T"
Cs 0.000 0.000 0.000
Cs 1.750 0.000 4.249
Cs 4.284 2.524 5.678
Cs 4.284 -2.524 5.678
Rb 4.583 2.807 2.070
Rb 4.583 -2.807 2.070
Zn 3.254 0.000 0.775
Co 6.043 0.000 3.335
O 2.936 4.415 3.931
O 2.494 1.669 0.250
O 2.494 -1.669 0.250
O 4.934 0.000 1.742
O 2.936 -4.415 3.931
```

The 10 most intense peaks (5 to 70 degrees two-theta), in order of falling intensity:
| 2θ/deg | I/Imax |
| --- | --- |
| 29.06 | 100 |
| 28.45 | 69 |
| 27.87 | 46 |
| 36.55 | 44 |
| 29.55 | 43 |
| 25.21 | 34 |
| 46.45 | 27 |
| 28.64 | 27 |
| 30.29 | 25 |
| 52.10 | 23 |